Entry 1:
Structure and theoretical powder X-ray diffraction pattern of Tb5Nd6Th (a DFT-relaxed cell (GGA-PBE, Alexandria); copper Kα).
Peak positions follow from Bragg's law for the DFT cell and can differ from measured ones.

Crystal structure
Cell: 11.452 15.370 5.129 Å, 90.00 116.52 90.00°
Space group C2/m (No. 12)
Symmetry-distinct sites (fractional):
Tb 0.000 0.000 0.000 x2
Tb 0.000 0.168 0.500 x4
Tb 0.000 0.336 0.000 x4
Nd 0.248 0.500 0.248 x4
Nd 0.249 0.335 0.749 x8
Th 0.000 0.500 0.500 x2

Main lines, by angle (2θ from 10° to 90°):
2θ/deg, I/Imax
30.20, 100.0
35.01, 50.7
50.36, 36.3
59.84, 36.1
59.89, 7.2
62.81, 12.5
73.98, 5.8
81.91, 11.8
81.99, 5.9
84.58, 11.0

=====

Entry 2:
Structure and theoretical powder X-ray diffraction pattern of Tb3Nd5Th (a DFT-relaxed cell (GGA-PBE, Alexandria); copper Kα).
Peak positions follow from Bragg's law for the DFT cell and can differ from measured ones.

Crystal structure
Cell: 7.957 7.957 19.725 Å, 90.00 90.00 90.00°
Space group I4/mcm (No. 140)
Symmetry-distinct sites (fractional):
Tb 0.000 0.000 0.250 x4
Tb 0.131 0.369 0.000 x8
Nd 0.000 0.000 0.000 x4
Nd 0.207 0.293 0.367 x16
Th 0.000 0.500 0.250 x4

Main lines, by angle (2θ from 10° to 90°):
2θ/deg, I/Imax
28.52, 45.1
28.83, 100.0
31.81, 36.0
33.93, 18.9
36.44, 26.0
36.86, 15.0
45.39, 10.2
49.16, 28.7
54.86, 20.7
60.99, 10.3

=====

Entry 3:
Structure and theoretical powder X-ray diffraction pattern of Tb12Nd3Th (a DFT-relaxed cell (GGA-PBE, Alexandria); copper Kα).
Peak positions follow from Bragg's law for the DFT cell and can differ from measured ones.

Crystal structure
Cell: 5.069 5.069 20.262 Å, 90.00 90.00 90.00°
Space group P4/mmm (No. 123)
Symmetry-distinct sites (fractional):
Tb 0.000 0.000 0.000 x1
Tb 0.000 0.000 0.250 x2
Tb 0.000 0.000 0.500 x1
Tb 0.000 0.500 0.122 x4
Tb 0.000 0.500 0.374 x4
Nd 0.500 0.500 0.249 x2
Nd 0.500 0.500 0.500 x1
Th 0.500 0.500 0.000 x1

Main lines, by angle (2θ from 10° to 90°):
2θ/deg, I/Imax
30.55, 100.0
35.42, 50.7
50.96, 36.1
60.60, 42.9
63.60, 12.4
74.95, 5.7
83.06, 17.7
85.73, 16.5

=====

Entry 4:
Structure and theoretical powder X-ray diffraction pattern of Tb8Nd3Th2 (a DFT-relaxed cell (GGA-PBE, Alexandria); copper Kα).
Peak positions follow from Bragg's law for the DFT cell and can differ from measured ones.

Crystal structure
Cell: 6.679 9.076 15.015 Å, 80.69 80.63 77.09°
Space group P-1 (No. 2)
Symmetry-distinct sites (fractional):
Tb 0.009 0.313 0.263 x2
Tb 0.118 0.658 0.291 x2
Tb 0.203 0.020 0.659 x2
Tb 0.264 0.319 0.827 x2
Tb 0.285 0.726 0.070 x2
Tb 0.309 0.134 0.053 x2
Tb 0.349 0.185 0.441 x2
Tb 0.432 0.464 0.615 x2
Nd 0.000 0.500 0.000 x1
Nd 0.000 0.500 0.500 x1
Nd 0.352 0.949 0.263 x2
Nd 0.472 0.651 0.817 x2
Th 0.148 0.971 0.890 x2
Th 0.177 0.827 0.488 x2

Main lines, by angle (2θ from 10° to 90°):
2θ/deg, I/Imax
27.67, 13.4
29.06, 17.3
29.57, 13.5
30.39, 12.3
30.82, 56.3
31.17, 36.7
31.44, 100.0
31.56, 31.1
31.76, 46.3
45.05, 13.2